1.
The following is a theoretical powder X-ray diffraction pattern of Cr2Mo. It was derived from a cell relaxed with PBE, using Cu Kα, 1.54184 Å.
Peak positions follow from Bragg's law for the DFT cell and can differ from measured ones.

Crystal structure
a b c (Å): 6.8086 6.8086 6.8086
angles (deg): 90.00 90.00 90.00
Space group Fd-3m (No. 227, origin choice 2)
Asymmetric unit:
1 Cr 0.0000 0.0000 0.0000 (multiplicity 16)
2 Mo 0.1250 0.1250 0.6250 (multiplicity 8)

Top 6 peaks for 2θ = 10–90°, most intense first:
2θ/deg  I/Imax  hkl
44.11  100  3 1 1
37.36  52  2 2 0
72.08  28  5 1 1
79.66  22  4 4 0
46.19  22  2 2 2
67.38  18  4 2 2


2.
The following is a theoretical powder X-ray diffraction pattern of Sm2CrMoN5. It was derived from a cell relaxed with PBE, using Cu Kα, 1.54184 Å.
Peak positions follow from Bragg's law for the DFT cell and can differ from measured ones.

Crystal structure
a b c (Å): 3.2654 13.8945 9.9264
angles (deg): 90.00 90.00 90.00
Space group Cmc2_1 (No. 36)
Asymmetric unit:
1 Sm 0.0000 0.1203 0.0000 (multiplicity 4)
2 Sm 0.0000 0.1340 0.6250 (multiplicity 4)
3 Cr 0.0000 0.4473 0.7616 (multiplicity 4)
4 Mo 0.0000 0.2062 0.3291 (multiplicity 4)
5 N 0.0000 0.0418 0.3448 (multiplicity 4)
6 N 0.0000 0.2969 0.9681 (multiplicity 4)
7 N 0.0000 0.3191 0.6859 (multiplicity 4)
8 N 0.0000 0.3429 0.3178 (multiplicity 4)
9 N 0.0000 0.4994 0.6036 (multiplicity 4)

Top 6 peaks for 2θ = 10–90°, most intense first:
2θ/deg  I/Imax  hkl
29.91  100  0 2 3
39.30  93  1 1 3
33.58  59  1 3 0
31.43  51  0 4 2
34.81  36  1 3 1
39.98  35  0 6 1


3.
The following is a theoretical powder X-ray diffraction pattern of Th2CrMoN5. It was derived from a cell relaxed with PBE, using Cu Kα, 1.54184 Å.
Peak positions follow from Bragg's law for the DFT cell and can differ from measured ones.

Crystal structure
a b c (Å): 3.4305 13.6629 9.8370
angles (deg): 90.00 90.00 90.00
Space group Cmc2_1 (No. 36)
Asymmetric unit:
1 Th 0.0000 0.1256 0.0000 (multiplicity 4)
2 Th 0.0000 0.1338 0.6251 (multiplicity 4)
3 Cr 0.0000 0.4401 0.7759 (multiplicity 4)
4 Mo 0.0000 0.1927 0.3184 (multiplicity 4)
5 N 0.0000 0.0433 0.3630 (multiplicity 4)
6 N 0.0000 0.3000 0.9712 (multiplicity 4)
7 N 0.0000 0.3101 0.6839 (multiplicity 4)
8 N 0.0000 0.3476 0.3209 (multiplicity 4)
9 N 0.0000 0.4945 0.6108 (multiplicity 4)

Top 6 peaks for 2θ = 10–90°, most intense first:
2θ/deg  I/Imax  hkl
30.23  100  0 2 3
38.55  78  1 1 3
32.68  62  1 3 0
26.09  52  0 4 0
26.79  43  1 1 0
31.90  36  0 4 2


4.
The following is a theoretical powder X-ray diffraction pattern of Th2CrMoN6. It was derived from a cell relaxed with PBE, using Cu Kα, 1.54184 Å.
Peak positions follow from Bragg's law for the DFT cell and can differ from measured ones.

Crystal structure
a b c (Å): 5.4992 5.4992 4.2944
angles (deg): 90.00 90.00 90.00
Space group P4mm (No. 99)
Asymmetric unit:
1 Th 0.0000 0.5000 0.0000 (multiplicity 2)
2 Cr 0.0000 0.0000 0.5615 (multiplicity 1)
3 Mo 0.5000 0.5000 0.5696 (multiplicity 1)
4 N 0.0000 0.0000 0.1691 (multiplicity 1)
5 N 0.2459 0.2459 0.6736 (multiplicity 4)
6 N 0.5000 0.5000 0.1419 (multiplicity 1)

Top 6 peaks for 2θ = 10–90°, most intense first:
2θ/deg  I/Imax  hkl
31.03  100  1 1 1
32.57  44  2 0 0
57.15  36  3 1 1
46.72  22  2 2 0
22.87  22  1 1 0
54.20  21  2 0 2